1.
Diffraction record for K2NiHSe2. The PXRD pattern is computed, not measured: it uses a PBE-relaxed structure and Cu Kα (λ = 1.5418 Å).
Lines closer than 0.1° are merged.

a b c (Å): 9.5747 12.1173 5.9905
angles (deg): 90.00 90.00 90.00
Space group Ibam (No. 72)
Unique sites:
K (0.1648, 0.1137, 0.0000) [8 per cell]
Ni (0.0000, 0.5000, 0.2500) [4 per cell]
H (0.0000, 0.0000, 0.2500) [4 per cell]
Se (0.1252, 0.3933, 0.0000) [8 per cell]

Main lines, most intense first (10° ≤ 2θ ≤ 90°):
11.78 deg, I = 100, hkl 1 1 0
24.92 deg, I = 54, hkl 2 1 1
32.63 deg, I = 52, hkl 2 3 1
14.62 deg, I = 30, hkl 0 2 0
42.44 deg, I = 24, hkl 0 4 2
35.11 deg, I = 17, hkl 3 2 1
54.77 deg, I = 16, hkl 2 3 3
48.70 deg, I = 14, hkl 4 0 2
48.47 deg, I = 13, hkl 4 4 0
29.83 deg, I = 12, hkl 0 0 2

2.
Diffraction record for K2ZnNiH6. The PXRD pattern is computed, not measured: it uses a PBE-relaxed structure and Cu Kα (λ = 1.5418 Å).
Lines closer than 0.1° are merged.

a b c (Å): 5.6489 5.6489 7.9106
angles (deg): 90.00 90.00 90.00
Space group I4/mmm (No. 139)
Unique sites:
K (0.0000, 0.5000, 0.2500) [4 per cell]
Zn (0.0000, 0.0000, 0.0000) [2 per cell]
Ni (0.0000, 0.0000, 0.5000) [2 per cell]
H (0.0000, 0.0000, 0.3035) [4 per cell]
H (0.1944, 0.1944, 0.5000) [8 per cell]

Main lines, most intense first (10° ≤ 2θ ≤ 90°):
31.84 deg, I = 100, hkl 1 1 2
31.68 deg, I = 51, hkl 2 0 0
56.53 deg, I = 34, hkl 3 1 2
45.41 deg, I = 19, hkl 2 2 0
56.83 deg, I = 17, hkl 2 0 4
75.27 deg, I = 14, hkl 4 2 0
66.54 deg, I = 10, hkl 2 2 4
45.89 deg, I = 9, hkl 0 0 4
22.26 deg, I = 9, hkl 1 1 0
76.01 deg, I = 7, hkl 1 1 6

3.
Diffraction record for K7H4O. The PXRD pattern is computed, not measured: it uses a PBE-relaxed structure and Cu Kα (λ = 1.5418 Å).
Lines closer than 0.1° are merged.

a b c (Å): 13.9290 3.9067 14.2809
angles (deg): 90.00 116.18 90.00
Space group Cm (No. 8)
Unique sites:
K (0.0000, 0.0000, 0.0000) [2 per cell]
K (0.0203, 0.0000, 0.3413) [2 per cell]
K (0.0774, 0.5000, 0.5630) [2 per cell]
K (0.1998, 0.5000, 0.8607) [2 per cell]
K (0.2834, 0.0000, 0.1783) [2 per cell]
K (0.3135, 0.5000, 0.4239) [2 per cell]
K (0.3915, 0.0000, 0.7063) [2 per cell]
H (0.0333, 0.0000, 0.7084) [2 per cell]
H (0.1496, 0.5000, 0.0166) [2 per cell]
H (0.2096, 0.0000, 0.5385) [2 per cell]
H (0.3450, 0.0000, 0.8665) [2 per cell]
O (0.4145, 0.0000, 0.3801) [2 per cell]

Main lines, most intense first (10° ≤ 2θ ≤ 90°):
25.02 deg, I = 100, hkl 2 0 -4
26.20 deg, I = 88, hkl 4 0 -1
30.10 deg, I = 86, hkl 2 0 3
32.06 deg, I = 66, hkl 3 1 -3
29.25 deg, I = 64, hkl 1 1 2
26.02 deg, I = 59, hkl 1 1 -2
23.94 deg, I = 55, hkl 1 1 -1
30.23 deg, I = 51, hkl 3 1 -2
40.09 deg, I = 49, hkl 5 1 -3
31.38 deg, I = 41, hkl 3 1 0

4.
Diffraction record for KHO. The PXRD pattern is computed, not measured: it uses a PBE-relaxed structure and Cu Kα (λ = 1.5418 Å).
Lines closer than 0.1° are merged.

a b c (Å): 3.9971 10.7153 4.0060
angles (deg): 90.00 90.00 90.00
Space group Cmc2_1 (No. 36)
Unique sites:
K (0.0000, 0.1416, 0.0000) [4 per cell]
H (0.0000, 0.4652, 0.8701) [4 per cell]
O (0.0000, 0.3947, 0.0286) [4 per cell]

Main lines, most intense first (10° ≤ 2θ ≤ 90°):
32.73 deg, I = 100, hkl 1 1 1
33.45 deg, I = 35, hkl 0 4 0
40.68 deg, I = 33, hkl 1 3 1
33.65 deg, I = 24, hkl 1 3 0
27.81 deg, I = 24, hkl 0 2 1
57.49 deg, I = 23, hkl 2 4 0
53.65 deg, I = 20, hkl 1 5 1
45.38 deg, I = 17, hkl 2 0 0
45.27 deg, I = 16, hkl 0 0 2
40.51 deg, I = 9, hkl 0 4 1